For Al2HgSe4, a DFT-relaxed cell (GGA-PBE, the Materials Project) gives the computed powder diffractogram in this record (λ = 1.5418 Å (Cu Kα)).

Crystal structure
Cell: 7.7816 7.7816 7.7816 Å, 60.00 60.00 60.00°
Sites, in units of the cell vectors:
Al  0.0000  0.0000  0.0000
Al  0.0000  0.0000  0.5000
Al  0.0000  0.5000  0.0000
Al  0.5000  0.0000  0.0000
Hg  0.3750  0.3750  0.3750
Hg  0.6250  0.6250  0.6250
Se  0.2058  0.7647  0.7647
Se  0.2353  0.2353  0.2353
Se  0.2353  0.2353  0.7942
Se  0.2353  0.7942  0.2353
Se  0.7647  0.2058  0.7647
Se  0.7647  0.7647  0.2058
Se  0.7647  0.7647  0.7647
Se  0.7942  0.2353  0.2353

Most intense lines, 10° ≤ 2θ ≤ 80°, low angle first:
| 2θ (°) | d [Å] | I (rel.) |
| --- | --- | --- |
| 13.9 | 6.354 | 19 |
| 22.9 | 3.891 | 100 |
| 26.9 | 3.318 | 72 |
| 28.1 | 3.177 | 57 |
| 35.6 | 2.525 | 50 |
| 40.1 | 2.246 | 39 |
| 42.7 | 2.118 | 64 |
| 46.7 | 1.945 | 96 |
| 63.2 | 1.471 | 30 |
| 65.1 | 1.433 | 17 |


For Al2HgTe4, a DFT-relaxed cell (GGA-PBE, the Materials Project) gives the computed powder diffractogram in this record (λ = 1.5418 Å (Cu Kα)).

Crystal structure
Cell: 7.4555 7.4555 7.4555 Å, 130.14 130.14 73.19°
Sites, in units of the cell vectors:
Al  0.0000  0.0000  0.0000
Al  0.7500  0.2500  0.5000
Hg  0.5000  0.5000  0.0000
Te  0.1046  0.0873  0.4684
Te  0.3638  0.8954  0.9827
Te  0.6189  0.6362  0.5316
Te  0.9127  0.3811  0.0173

Most intense lines, 10° ≤ 2θ ≤ 80°, low angle first:
| 2θ (°) | d [Å] | I (rel.) |
| --- | --- | --- |
| 15.9 | 5.565 | 17 |
| 25.0 | 3.568 | 100 |
| 26.5 | 3.369 | 14 |
| 32.2 | 2.783 | 14 |
| 32.7 | 2.736 | 17 |
| 40.6 | 2.222 | 24 |
| 41.7 | 2.167 | 43 |
| 48.2 | 1.886 | 31 |
| 50.1 | 1.821 | 16 |
| 74.6 | 1.272 | 14 |


For HoAl3, a DFT-relaxed cell (GGA-PBE, the Materials Project) gives the computed powder diffractogram in this record (λ = 1.5418 Å (Cu Kα)).

Crystal structure
Cell: 6.2366 6.2366 4.6257 Å, 90.00 90.00 120.00°
Sites, in units of the cell vectors:
Ho  0.3333  0.6667  0.2500
Ho  0.6667  0.3333  0.7500
Al  0.1483  0.2965  0.7500
Al  0.1483  0.8517  0.7500
Al  0.2965  0.1483  0.2500
Al  0.7035  0.8517  0.7500
Al  0.8517  0.1483  0.2500
Al  0.8517  0.7035  0.2500

Most intense lines, 10° ≤ 2θ ≤ 80°, low angle first:
| 2θ (°) | d [Å] | I (rel.) |
| --- | --- | --- |
| 16.4 | 5.401 | 28 |
| 25.4 | 3.513 | 100 |
| 28.6 | 3.118 | 47 |
| 33.2 | 2.701 | 24 |
| 38.6 | 2.332 | 95 |
| 38.9 | 2.313 | 21 |
| 48.8 | 1.868 | 26 |
| 49.0 | 1.858 | 22 |
| 65.5 | 1.425 | 17 |
| 73.2 | 1.293 | 18 |


For HoAl3, a DFT-relaxed cell (GGA-PBE, the Materials Project) gives the computed powder diffractogram in this record (λ = 1.5418 Å (Cu Kα)).

Crystal structure
Cell: 4.2462 4.2462 4.2462 Å, 90.00 90.00 90.00°
Sites, in units of the cell vectors:
Ho  0.0000  0.0000  0.0000
Al  0.0000  0.5000  0.5000
Al  0.5000  0.0000  0.5000
Al  0.5000  0.5000  0.0000

Most intense lines, 10° ≤ 2θ ≤ 80°, low angle first:
| 2θ (°) | d [Å] | I (rel.) |
| --- | --- | --- |
| 20.9 | 4.246 | 94 |
| 29.8 | 3.003 | 80 |
| 36.7 | 2.452 | 100 |
| 42.6 | 2.123 | 49 |
| 47.9 | 1.899 | 44 |
| 52.8 | 1.734 | 33 |
| 61.8 | 1.501 | 33 |
| 66.0 | 1.415 | 21 |
| 70.1 | 1.343 | 14 |
| 74.0 | 1.280 | 38 |


For Ho3Al2, a DFT-relaxed cell (GGA-PBE, the Materials Project) gives the computed powder diffractogram in this record (λ = 1.5418 Å (Cu Kα)).

Crystal structure
Cell: 8.2022 8.2022 7.5787 Å, 90.00 90.00 90.00°
Sites, in units of the cell vectors:
Ho  0.0000  0.5000  0.2500
Ho  0.0000  0.5000  0.7500
Ho  0.1500  0.1500  0.0000
Ho  0.2012  0.2012  0.5000
Ho  0.2988  0.7012  0.0000
Ho  0.3500  0.6500  0.5000
Ho  0.5000  0.0000  0.2500
Ho  0.5000  0.0000  0.7500
Ho  0.6500  0.3500  0.5000
Ho  0.7012  0.2988  0.0000
Ho  0.7988  0.7988  0.5000
Ho  0.8500  0.8500  0.0000
Al  0.1194  0.8806  0.3038
Al  0.1194  0.8806  0.6962
Al  0.3806  0.3806  0.1962
Al  0.3806  0.3806  0.8038
Al  0.6194  0.6194  0.1962
Al  0.6194  0.6194  0.8038
Al  0.8806  0.1194  0.3038
Al  0.8806  0.1194  0.6962

Most intense lines, 10° ≤ 2θ ≤ 80°, low angle first:
| 2θ (°) | d [Å] | I (rel.) |
| --- | --- | --- |
| 24.3 | 3.668 | 52 |
| 28.1 | 3.172 | 52 |
| 30.8 | 2.900 | 38 |
| 32.2 | 2.783 | 100 |
| 34.0 | 2.636 | 84 |
| 34.6 | 2.594 | 68 |
| 36.6 | 2.454 | 24 |
| 51.9 | 1.761 | 21 |
| 53.2 | 1.722 | 32 |
| 60.5 | 1.530 | 24 |


For HoAl3, a DFT-relaxed cell (GGA-PBE, the Materials Project) gives the computed powder diffractogram in this record (λ = 1.5418 Å (Cu Kα)).

Crystal structure
Cell: 12.4960 12.4960 12.4960 Å, 28.16 28.16 28.16°
Sites, in units of the cell vectors:
Ho  0.0000  0.0000  0.0000
Ho  0.1310  0.1310  0.1310
Ho  0.4001  0.4001  0.4001
Ho  0.5999  0.5999  0.5999
Ho  0.8690  0.8690  0.8690
Al  0.0000  0.5000  0.5000
Al  0.1174  0.1174  0.5665
Al  0.1174  0.5665  0.1174
Al  0.1309  0.6352  0.6352
Al  0.3648  0.3648  0.8691
Al  0.3648  0.8691  0.3648
Al  0.4335  0.8826  0.8826
Al  0.5000  0.0000  0.5000
Al  0.5000  0.5000  0.0000
Al  0.5665  0.1174  0.1174
Al  0.6352  0.1309  0.6352
Al  0.6352  0.6352  0.1309
Al  0.8691  0.3648  0.3648
Al  0.8826  0.4335  0.8826
Al  0.8826  0.8826  0.4335

Most intense lines, 10° ≤ 2θ ≤ 80°, low angle first:
| 2θ (°) | d [Å] | I (rel.) |
| --- | --- | --- |
| 19.5 | 4.544 | 65 |
| 24.2 | 3.678 | 78 |
| 26.1 | 3.420 | 72 |
| 29.4 | 3.040 | 100 |
| 35.5 | 2.527 | 51 |
| 37.5 | 2.399 | 55 |
| 38.4 | 2.343 | 71 |
| 39.7 | 2.272 | 70 |
| 48.3 | 1.883 | 51 |
| 73.8 | 1.284 | 44 |


For HoAl, a DFT-relaxed cell (GGA-PBE, the Materials Project) gives the computed powder diffractogram in this record (λ = 1.5418 Å (Cu Kα)).

Crystal structure
Cell: 5.8305 11.3743 5.6124 Å, 90.00 90.00 90.00°
Sites, in units of the cell vectors:
Ho  0.1037  0.1684  0.2500
Ho  0.1037  0.3316  0.7500
Ho  0.3390  0.0166  0.7500
Ho  0.3390  0.4834  0.2500
Ho  0.6610  0.5166  0.7500
Ho  0.6610  0.9834  0.2500
Ho  0.8963  0.6684  0.2500
Ho  0.8963  0.8316  0.7500
Al  0.1590  0.5981  0.7500
Al  0.1590  0.9019  0.2500
Al  0.4279  0.7500  0.0000
Al  0.4279  0.7500  0.5000
Al  0.5721  0.2500  0.0000
Al  0.5721  0.2500  0.5000
Al  0.8410  0.0981  0.7500
Al  0.8410  0.4019  0.2500

Most intense lines, 10° ≤ 2θ ≤ 80°, low angle first:
| 2θ (°) | d [Å] | I (rel.) |
| --- | --- | --- |
| 17.1 | 5.189 | 23 |
| 21.8 | 4.071 | 35 |
| 27.1 | 3.295 | 37 |
| 31.9 | 2.806 | 49 |
| 32.4 | 2.766 | 100 |
| 35.1 | 2.556 | 22 |
| 35.4 | 2.537 | 37 |
| 35.6 | 2.523 | 87 |
| 39.0 | 2.311 | 37 |
| 57.1 | 1.612 | 20 |


For HoAl3, a DFT-relaxed cell (GGA-PBE, the Materials Project) gives the computed powder diffractogram in this record (λ = 1.5418 Å (Cu Kα)).

Crystal structure
Cell: 7.9068 7.9068 7.9068 Å, 45.84 45.84 45.84°
Sites, in units of the cell vectors:
Ho  0.0000  0.0000  0.0000
Ho  0.2182  0.2182  0.2182
Ho  0.7818  0.7818  0.7818
Al  0.0000  0.5000  0.5000
Al  0.2613  0.7040  0.7040
Al  0.2960  0.2960  0.7387
Al  0.2960  0.7387  0.2960
Al  0.5000  0.0000  0.5000
Al  0.5000  0.5000  0.0000
Al  0.7040  0.2613  0.7040
Al  0.7040  0.7040  0.2613
Al  0.7387  0.2960  0.2960

Most intense lines, 10° ≤ 2θ ≤ 80°, low angle first:
| 2θ (°) | d [Å] | I (rel.) |
| --- | --- | --- |
| 17.1 | 5.172 | 50 |
| 23.7 | 3.758 | 100 |
| 26.9 | 3.318 | 97 |
| 29.0 | 3.079 | 92 |
| 33.9 | 2.646 | 40 |
| 37.8 | 2.382 | 93 |
| 38.2 | 2.354 | 45 |
| 39.9 | 2.257 | 92 |
| 48.7 | 1.870 | 43 |
| 73.5 | 1.289 | 37 |


For HoLuAl2, a DFT-relaxed cell (GGA-PBE, the Materials Project) gives the computed powder diffractogram in this record (λ = 1.5418 Å (Cu Kα)).

Crystal structure
Cell: 5.0154 5.0154 5.0154 Å, 60.00 60.00 60.00°
Sites, in units of the cell vectors:
Ho  0.0000  0.0000  0.0000
Lu  0.5000  0.5000  0.5000
Al  0.2500  0.2500  0.2500
Al  0.7500  0.7500  0.7500

Most intense lines, 10° ≤ 2θ ≤ 80°, low angle first:
| 2θ (°) | d [Å] | I (rel.) |
| --- | --- | --- |
| 25.1 | 3.546 | 64 |
| 35.8 | 2.508 | 100 |
| 44.2 | 2.048 | 19 |
| 51.5 | 1.773 | 18 |
| 58.2 | 1.586 | 26 |
| 64.3 | 1.448 | 36 |
| 75.9 | 1.254 | 11 |


For HoMnAl, a DFT-relaxed cell (GGA-PBE, the Materials Project) gives the computed powder diffractogram in this record (λ = 1.5418 Å (Cu Kα)).

Crystal structure
Cell: 5.4172 5.4172 5.4172 Å, 119.52 118.93 91.34°
Sites, in units of the cell vectors:
Ho  0.3701  0.1201  0.2500
Ho  0.6299  0.8799  0.7500
Mn  0.0000  0.0000  0.5000
Mn  0.0000  0.5000  0.0000
Al  0.0000  0.5000  0.5000
Al  0.5000  0.5000  0.0000

Most intense lines, 10° ≤ 2θ ≤ 80°, low angle first:
| 2θ (°) | d [Å] | I (rel.) |
| --- | --- | --- |
| 19.9 | 4.452 | 19 |
| 20.1 | 4.426 | 53 |
| 32.5 | 2.752 | 37 |
| 33.1 | 2.708 | 100 |
| 38.5 | 2.337 | 53 |
| 38.7 | 2.326 | 69 |
| 39.3 | 2.293 | 59 |
| 58.4 | 1.580 | 20 |
| 58.8 | 1.571 | 19 |
| 69.4 | 1.354 | 26 |